(1)
Diffraction record for Pr2Sm2C2BrCl4. The powder XRD pattern is theoretical, not measured: it uses DFT lattice parameters and positions (GGA-PBE) and a wavelength of 1.5418 Å.
Neutral-atom scattering factors, no anomalous dispersion.

Crystal structure
```
data_Pr2Sm2C2BrCl4
_chemical_formula_sum 'Pr4 Sm4 C4 Br2 Cl8'
_cell_length_a 18.8431
_cell_length_b 3.9198
_cell_length_c 8.2231
_cell_angle_alpha 90.00
_cell_angle_beta 104.84
_cell_angle_gamma 90.00
_symmetry_space_group_name_H-M 'C 1 2/m 1'
_symmetry_Int_Tables_number 12
_symmetry_space_group_name_Hall '-C 2y'
loop_
_atom_site_label
_atom_site_fract_x
_atom_site_fract_y
_atom_site_fract_z
_atom_site_occupancy
Pr1 0.9995 0.0000 0.2033 1
Sm1 0.1600 0.5000 0.1051 1
C1 0.0386 0.5000 0.0246 1
Br1 0.0000 0.5000 0.5000 1
Cl1 0.1631 0.0000 0.3463 1
Cl2 0.1713 0.0000 0.8604 1
```

Principal peaks in the range 10° ≤ 2θ ≤ 80°, in order of rising 2θ:
d_spacing  intensity
7.949  70
3.293  28
3.204  30
3.036  66
2.903  28
2.836  100
2.101  36
2.045  37

(2)
Diffraction record for Pr2Sm2CBr4Cl. The powder XRD pattern is theoretical, not measured: it uses DFT lattice parameters and positions (GGA-PBE) and a wavelength of 1.5418 Å.
Neutral-atom scattering factors, no anomalous dispersion.

Crystal structure
```
data_Pr2Sm2CBr4Cl
_chemical_formula_sum 'Pr4 Sm4 C2 Br8 Cl2'
_cell_length_a 18.3429
_cell_length_b 3.8957
_cell_length_c 8.1541
_cell_angle_alpha 90.00
_cell_angle_beta 103.93
_cell_angle_gamma 90.00
_symmetry_space_group_name_H-M 'C 1 2/m 1'
_symmetry_Int_Tables_number 12
_symmetry_space_group_name_Hall '-C 2y'
loop_
_atom_site_label
_atom_site_fract_x
_atom_site_fract_y
_atom_site_fract_z
_atom_site_occupancy
Pr1 0.1428 0.0000 0.0806 1
Sm1 0.0007 0.5000 0.7888 1
C1 0.0000 0.0000 0.0000 1
Br1 0.1622 0.5000 0.3632 1
Br2 0.1678 0.5000 0.8163 1
Cl1 0.0000 0.0000 0.5000 1
```

Principal peaks in the range 10° ≤ 2θ ≤ 80°, in order of rising 2θ:
d_spacing  intensity
7.914  45
2.967  51
2.881  22
2.816  100
2.628  22
2.056  28
2.029  32
1.948  20

(3)
Diffraction record for Pr2Y2CBr4Cl. The powder XRD pattern is theoretical, not measured: it uses DFT lattice parameters and positions (GGA-PBE) and a wavelength of 1.5418 Å.
Neutral-atom scattering factors, no anomalous dispersion.

Crystal structure
```
data_Pr2Y2CBr4Cl
_chemical_formula_sum 'Pr4 Y4 C2 Br8 Cl2'
_cell_length_a 18.1312
_cell_length_b 3.9041
_cell_length_c 8.2318
_cell_angle_alpha 90.00
_cell_angle_beta 102.81
_cell_angle_gamma 90.00
_symmetry_space_group_name_H-M 'C 1 2/m 1'
_symmetry_Int_Tables_number 12
_symmetry_space_group_name_Hall '-C 2y'
loop_
_atom_site_label
_atom_site_fract_x
_atom_site_fract_y
_atom_site_fract_z
_atom_site_occupancy
Pr1 0.0015 0.0000 0.2858 1
Y1 0.1369 0.5000 0.5728 1
C1 0.0000 0.5000 0.5000 1
Br1 0.1684 0.0000 0.8347 1
Br2 0.1745 0.0000 0.3411 1
Cl1 0.0000 0.5000 0.0000 1
```

Principal peaks in the range 10° ≤ 2θ ≤ 80°, in order of rising 2θ:
d_spacing  intensity
8.027  39
4.009  22
3.812  24
2.947  45
2.833  100
2.621  37
2.046  29
2.038  28